1.
The following is a computed powder X-ray diffraction pattern of Np2Pa3S8. It was derived from the GGA-PBE geometry in Alexandria, using Cu Kα.
Lines closer than 0.1° are merged.

Principal peaks in the range 10 to 90 degrees two-theta, in order of falling intensity:
| Position (°2θ) | Rel. int. |
| --- | --- |
| 38.4 | 100 |
| 26.8 | 50 |
| 23.1 | 46 |
| 23.3 | 43 |
| 38.1 | 28 |
| 45.4 | 26 |
| 38.5 | 25 |
| 26.9 | 23 |
| 69.6 | 22 |
| 29.3 | 19 |

Structure:
a = 9.3518 Å, b = 13.2361 Å, c = 4.7276 Å
α = 90.00°, β = 90.00°, γ = 90.00°
Space group Cmmm (No. 65)
Inequivalent atoms, fractional coordinates:
Np1 0.0000 0.2330 0.0000 x4
Pa1 0.0000 0.5000 0.0000 x2
Pa2 0.2308 0.0000 0.5000 x4
S1 0.0000 0.1252 0.5000 x4
S2 0.0000 0.3828 0.5000 x4
S3 0.2411 0.3786 0.0000 x8


2.
The following is a computed powder X-ray diffraction pattern of Pr2NdNi2. It was derived from the GGA-PBE geometry in Alexandria, using Cu Kα.
Lines closer than 0.1° are merged.

Principal peaks in the range 10 to 90 degrees two-theta, in order of falling intensity:
| Position (°2θ) | Rel. int. |
| --- | --- |
| 31.0 | 100 |
| 33.9 | 58 |
| 27.3 | 54 |
| 54.6 | 32 |
| 40.3 | 31 |
| 53.6 | 31 |
| 35.8 | 28 |
| 44.0 | 22 |
| 46.3 | 21 |
| 37.2 | 19 |

Structure:
a = 4.4751 Å, b = 14.3378 Å, c = 3.9211 Å
α = 90.00°, β = 90.00°, γ = 90.00°
Space group Cmmm (No. 65)
Inequivalent atoms, fractional coordinates:
Pr1 0.0000 0.1494 0.0000 x4
Nd1 0.0000 0.5000 0.5000 x2
Ni1 0.0000 0.2976 0.5000 x4


3.
The following is a computed powder X-ray diffraction pattern of K2HgPb6. It was derived from the GGA-PBE geometry in Alexandria, using Cu Kα.
Lines closer than 0.1° are merged.

Principal peaks in the range 10 to 90 degrees two-theta, in order of falling intensity:
| Position (°2θ) | Rel. int. |
| --- | --- |
| 33.8 | 100 |
| 30.8 | 96 |
| 14.8 | 90 |
| 15.9 | 67 |
| 32.1 | 61 |
| 36.2 | 59 |
| 28.5 | 54 |
| 36.6 | 52 |
| 49.9 | 51 |
| 12.0 | 44 |

Structure:
a = 13.0001 Å, b = 6.7900 Å, c = 7.6536 Å
α = 90.00°, β = 105.81°, γ = 90.00°
Space group C2/m (No. 12)
Inequivalent atoms, fractional coordinates:
K1 0.1352 0.0000 0.3570 x4
Hg1 0.0000 0.5000 0.5000 x2
Pb1 0.1172 0.5000 0.1605 x4
Pb2 0.1457 0.2440 0.8255 x8


4.
The following is a computed powder X-ray diffraction pattern of SiAgW. It was derived from the GGA-PBE geometry in Alexandria, using Cu Kα.
Lines closer than 0.1° are merged.

Principal peaks in the range 10 to 90 degrees two-theta, in order of falling intensity:
| Position (°2θ) | Rel. int. |
| --- | --- |
| 40.0 | 100 |
| 40.6 | 51 |
| 29.9 | 38 |
| 73.5 | 33 |
| 58.7 | 17 |
| 18.3 | 16 |
| 72.4 | 15 |
| 56.2 | 11 |
| 86.4 | 9 |
| 37.2 | 9 |

Structure:
a = 3.1447 Å, b = 3.1447 Å, c = 9.6774 Å
α = 90.00°, β = 90.00°, γ = 90.00°
Space group P4/nmm (No. 129, origin choice 2)
Inequivalent atoms, fractional coordinates:
Si1 0.2500 0.2500 0.2201 x2
Ag1 0.2500 0.2500 0.5983 x2
W1 0.2500 0.2500 0.9140 x2


5.
The following is a computed powder X-ray diffraction pattern of La12ZnAg6. It was derived from the GGA-PBE geometry in Alexandria, using Cu Kα.
Lines closer than 0.1° are merged.

Principal peaks in the range 10 to 90 degrees two-theta, in order of falling intensity:
| Position (°2θ) | Rel. int. |
| --- | --- |
| 33.0 | 100 |
| 34.4 | 68 |
| 34.8 | 45 |
| 32.3 | 42 |
| 32.8 | 35 |
| 61.2 | 23 |
| 24.4 | 20 |
| 39.3 | 18 |
| 36.4 | 15 |
| 57.1 | 15 |

Structure:
a = 11.5056 Å, b = 11.5056 Å, c = 14.4384 Å
α = 90.00°, β = 90.00°, γ = 120.00°
Space group R-3 (No. 148, hexagonal axes)
Inequivalent atoms, fractional coordinates:
La1 0.0345 0.8389 0.3241 x18
La2 0.0548 0.2120 0.8984 x18
Zn1 0.0000 0.0000 0.5000 x3
Ag1 0.0435 0.5966 0.2049 x18


6.
The following is a computed powder X-ray diffraction pattern of Pm6Sn5Bi. It was derived from the GGA-PBE geometry in Alexandria, using Cu Kα.
Lines closer than 0.1° are merged.

Principal peaks in the range 10 to 90 degrees two-theta, in order of falling intensity:
| Position (°2θ) | Rel. int. |
| --- | --- |
| 28.0 | 100 |
| 39.9 | 26 |
| 40.1 | 26 |
| 49.7 | 14 |
| 57.8 | 13 |
| 39.7 | 13 |
| 40.2 | 13 |
| 65.3 | 12 |
| 65.6 | 12 |
| 49.1 | 7 |

Structure:
a = 7.7967 Å, b = 13.4446 Å, c = 7.8587 Å
α = 90.00°, β = 109.14°, γ = 90.00°
Space group C2/m (No. 12)
Inequivalent atoms, fractional coordinates:
Pm1 0.2488 0.0000 0.2466 x4
Pm2 0.2498 0.1668 0.7497 x8
Sn1 0.0000 0.0000 0.5000 x2
Sn2 0.0000 0.1669 0.0000 x4
Sn3 0.0000 0.3357 0.5000 x4
Bi1 0.0000 0.5000 0.0000 x2


7.
The following is a computed powder X-ray diffraction pattern of Ba6PdRh. It was derived from the GGA-PBE geometry in Alexandria, using Cu Kα.
Lines closer than 0.1° are merged.

Principal peaks in the range 10 to 90 degrees two-theta, in order of falling intensity:
| Position (°2θ) | Rel. int. |
| --- | --- |
| 25.7 | 100 |
| 33.2 | 41 |
| 40.0 | 33 |
| 43.0 | 25 |
| 48.1 | 17 |
| 64.8 | 15 |
| 23.8 | 14 |
| 17.7 | 14 |
| 64.3 | 14 |
| 47.0 | 13 |

Structure:
a = 7.8174 Å, b = 7.8174 Å, c = 14.9529 Å
α = 90.00°, β = 90.00°, γ = 120.00°
Space group P-31c (No. 163)
Inequivalent atoms, fractional coordinates:
Ba1 0.0074 0.3269 0.1222 x12
Pd1 0.3333 0.6667 0.2500 x2
Rh1 0.0000 0.0000 0.0000 x2


8.
The following is a computed powder X-ray diffraction pattern of Be3In2Au9. It was derived from the GGA-PBE geometry in Alexandria, using Cu Kα.
Lines closer than 0.1° are merged.

Principal peaks in the range 10 to 90 degrees two-theta, in order of falling intensity:
| Position (°2θ) | Rel. int. |
| --- | --- |
| 41.5 | 100 |
| 36.2 | 77 |
| 35.9 | 76 |
| 37.1 | 72 |
| 56.0 | 56 |
| 29.7 | 46 |
| 42.3 | 45 |
| 29.6 | 42 |
| 30.6 | 41 |
| 71.9 | 15 |

Structure:
a = 12.8321 Å, b = 7.5824 Å, c = 10.8863 Å
α = 90.00°, β = 115.31°, γ = 90.00°
Space group C2/c (No. 15)
Inequivalent atoms, fractional coordinates:
Be1 0.0857 0.2466 0.0021 x8
Be2 0.2500 0.2500 0.5000 x4
In1 0.1665 0.0807 0.7474 x8
Au1 0.0000 0.3257 0.7500 x4
Au2 0.0597 0.0889 0.4347 x8
Au3 0.1082 0.4160 0.5802 x8
Au4 0.1258 0.2910 0.2551 x8
Au5 0.2266 0.4198 0.9420 x8


9.
The following is a computed powder X-ray diffraction pattern of Tb3Pr2Ho6Pb. It was derived from the GGA-PBE geometry in Alexandria, using Cu Kα.
Lines closer than 0.1° are merged.

Principal peaks in the range 10 to 90 degrees two-theta, in order of falling intensity:
| Position (°2θ) | Rel. int. |
| --- | --- |
| 31.0 | 100 |
| 35.9 | 68 |
| 61.6 | 38 |
| 30.9 | 34 |
| 51.6 | 24 |
| 51.8 | 24 |
| 61.4 | 14 |
| 64.7 | 12 |
| 84.6 | 12 |
| 87.0 | 11 |

Structure:
a = 6.1113 Å, b = 10.5888 Å, c = 11.7659 Å
α = 90.00°, β = 100.02°, γ = 90.00°
Space group C2/m (No. 12)
Inequivalent atoms, fractional coordinates:
Tb1 0.0000 0.0000 0.0000 x2
Tb2 0.0000 0.3325 0.0000 x4
Pr1 0.0000 0.1662 0.5000 x4
Ho1 0.2433 0.5000 0.2481 x4
Ho2 0.2462 0.3366 0.7509 x8
Pb1 0.0000 0.5000 0.5000 x2


10.
The following is a computed powder X-ray diffraction pattern of RuBr2F8. It was derived from the GGA-PBE geometry in Alexandria, using Cu Kα.
Lines closer than 0.1° are merged.

Principal peaks in the range 10 to 90 degrees two-theta, in order of falling intensity:
| Position (°2θ) | Rel. int. |
| --- | --- |
| 20.7 | 100 |
| 30.1 | 74 |
| 22.8 | 57 |
| 36.2 | 31 |
| 16.7 | 29 |
| 37.4 | 26 |
| 17.1 | 25 |
| 23.1 | 22 |
| 21.8 | 22 |
| 22.4 | 21 |

Structure:
a = 5.9504 Å, b = 5.9743 Å, c = 6.2813 Å
α = 94.45°, β = 116.45°, γ = 90.91°
Space group P-1 (No. 2)
Inequivalent atoms, fractional coordinates:
Ru1 0.0000 0.0000 0.0000 x1
Br1 0.2523 0.4782 0.5055 x2
F1 0.0792 0.3123 0.1392 x2
F2 0.1112 0.0680 0.7739 x2
F3 0.3253 0.9246 0.2110 x2
F4 0.3908 0.6279 0.7973 x2